For Na2Sc, DFT lattice parameters and positions (PBE) gives the calculated powder diffraction line list in this record (copper Kα).

Structural model:
```
Na2Sc
1.0
3.364 0.000 0.000
1.674 2.932 0.000
1.610 1.013 9.109
Na Sc
2 1
Cartesian
0.000 0.000 0.000
1.647 1.041 3.268
3.322 2.034 6.189
```

Largest 10 diffraction maxima, by angle, 2θ from 10° to 90°:
d/Å, I/Imax, hkl
3.036, 99, 0 0 3
2.911, 35, 1 0 0
2.853, 33, 1 1 0
2.692, 100, 0 1 -1
2.676, 46, 1 1 2
2.588, 50, 0 1 2
2.577, 45, 1 1 -1
2.568, 46, 1 0 2
1.627, 21, 0 1 5
1.476, 28, 1 2 -2

=====

For NaSc4, DFT lattice parameters and positions (PBE) gives the calculated powder diffraction line list in this record (copper Kα).

Structural model:
```
NaSc4
1.0
5.162 0.000 0.000
0.000 5.162 0.000
0.000 0.000 5.162
Na Sc
1 4
Cartesian
0.000 0.000 0.000
0.000 0.000 2.581
0.000 2.581 0.000
2.581 0.000 0.000
2.581 2.581 2.581
```

Largest 10 diffraction maxima, by angle, 2θ from 10° to 90°:
d/Å, I/Imax, hkl
5.162, 7, 1 0 0
3.650, 6, 1 1 0
2.981, 100, 1 1 1
2.581, 85, 2 0 0
1.825, 55, 2 2 0
1.557, 36, 3 1 1
1.490, 18, 2 2 2
1.291, 8, 4 0 0
1.184, 13, 3 3 1
1.154, 21, 4 2 0